1.
For Li2BeH4, a GGA-PBE-relaxed structure gives the theoretical powder XRD pattern in this record (Cu Kα (weighted mean of Kα1 and Kα2)).
Intensities are scaled so that the largest is 100.

Unit cell a=4.5297 b=4.5256 c=4.4788 alpha=60.40 beta=60.31 gamma=59.29
Fractional coordinates of all 7 atoms:
Li: 0.0000 0.0000 0.5000
Li: 0.5000 0.5000 0.0000
Be: 0.2505 0.2505 0.7495
H: 0.1790 0.5588 0.8210
H: 0.3220 0.9425 0.0575
H: 0.5588 0.1790 0.4412
H: 0.9425 0.3220 0.6780

Principal peaks in the range 10° ≤ 2θ ≤ 90°, most intense first:
24.17°, I = 100.0
39.83°, I = 91.6
72.91°, I = 27.5
40.27°, I = 24.3
72.01°, I = 17.3
47.52°, I = 10.7
58.21°, I = 8.4
58.33°, I = 8.3



2.
For ZrPdF6, a GGA-PBE-relaxed structure gives the theoretical powder XRD pattern in this record (Cu Kα (weighted mean of Kα1 and Kα2)).
Intensities are scaled so that the largest is 100.

Unit cell a=5.3184 b=5.3184 c=10.1371 alpha=90.00 beta=90.00 gamma=120.00
Fractional coordinates of all 16 atoms:
Zr: 0.0000 0.0000 0.0000
Zr: 0.0000 0.0000 0.5000
Pd: 0.3333 0.6667 0.2500
Pd: 0.6667 0.3333 0.7500
F: 0.0231 0.3234 0.1180
F: 0.0231 0.6996 0.3820
F: 0.3004 0.3234 0.3820
F: 0.3004 0.9769 0.1180
F: 0.3234 0.0231 0.6180
F: 0.3234 0.3004 0.8820
F: 0.6766 0.6996 0.1180
F: 0.6766 0.9769 0.3820
F: 0.6996 0.0231 0.8820
F: 0.6996 0.6766 0.6180
F: 0.9769 0.3004 0.6180
F: 0.9769 0.6766 0.8820

Principal peaks in the range 10° ≤ 2θ ≤ 90°, most intense first:
26.14°, I = 100.0
21.19°, I = 75.6
49.70°, I = 48.6
43.15°, I = 24.4
33.70°, I = 23.8
55.84°, I = 23.2
32.87°, I = 19.0
60.28°, I = 17.7



Repeat the second record exactly.
For ZrPdF6, a GGA-PBE-relaxed structure gives the theoretical powder XRD pattern in this record (Cu Kα (weighted mean of Kα1 and Kα2)).
Intensities are scaled so that the largest is 100.

Unit cell a=5.3184 b=5.3184 c=10.1371 alpha=90.00 beta=90.00 gamma=120.00
Fractional coordinates of all 16 atoms:
Zr: 0.0000 0.0000 0.0000
Zr: 0.0000 0.0000 0.5000
Pd: 0.3333 0.6667 0.2500
Pd: 0.6667 0.3333 0.7500
F: 0.0231 0.3234 0.1180
F: 0.0231 0.6996 0.3820
F: 0.3004 0.3234 0.3820
F: 0.3004 0.9769 0.1180
F: 0.3234 0.0231 0.6180
F: 0.3234 0.3004 0.8820
F: 0.6766 0.6996 0.1180
F: 0.6766 0.9769 0.3820
F: 0.6996 0.0231 0.8820
F: 0.6996 0.6766 0.6180
F: 0.9769 0.3004 0.6180
F: 0.9769 0.6766 0.8820

Principal peaks in the range 10° ≤ 2θ ≤ 90°, most intense first:
26.14°, I = 100.0
21.19°, I = 75.6
49.70°, I = 48.6
43.15°, I = 24.4
33.70°, I = 23.8
55.84°, I = 23.2
32.87°, I = 19.0
60.28°, I = 17.7



Copy entry 2 word for word.
For ZrPdF6, a GGA-PBE-relaxed structure gives the theoretical powder XRD pattern in this record (Cu Kα (weighted mean of Kα1 and Kα2)).
Intensities are scaled so that the largest is 100.

Unit cell a=5.3184 b=5.3184 c=10.1371 alpha=90.00 beta=90.00 gamma=120.00
Fractional coordinates of all 16 atoms:
Zr: 0.0000 0.0000 0.0000
Zr: 0.0000 0.0000 0.5000
Pd: 0.3333 0.6667 0.2500
Pd: 0.6667 0.3333 0.7500
F: 0.0231 0.3234 0.1180
F: 0.0231 0.6996 0.3820
F: 0.3004 0.3234 0.3820
F: 0.3004 0.9769 0.1180
F: 0.3234 0.0231 0.6180
F: 0.3234 0.3004 0.8820
F: 0.6766 0.6996 0.1180
F: 0.6766 0.9769 0.3820
F: 0.6996 0.0231 0.8820
F: 0.6996 0.6766 0.6180
F: 0.9769 0.3004 0.6180
F: 0.9769 0.6766 0.8820

Principal peaks in the range 10° ≤ 2θ ≤ 90°, most intense first:
26.14°, I = 100.0
21.19°, I = 75.6
49.70°, I = 48.6
43.15°, I = 24.4
33.70°, I = 23.8
55.84°, I = 23.2
32.87°, I = 19.0
60.28°, I = 17.7



- Which formula does entry 1 have?
  Li2BeH4